The following is a calculated powder diffractogram of LiNpUSe3. It was derived from a crystal structure in Alexandria, relaxed with PBE, using λ = 1.5418 Å (Cu Kα).

Atomic structure:
Unit cell a=8.540 b=3.917 c=8.772 alpha=90.00 beta=104.73 gamma=90.00
Atoms (fractional coordinates):
Li1 0.086 0.250 0.083
Li2 0.914 0.750 0.917
Np1 0.175 0.250 0.719
Np2 0.825 0.750 0.281
U1 0.342 0.750 0.347
U2 0.658 0.250 0.653
Se1 0.098 0.250 0.370
Se2 0.223 0.750 0.999
Se3 0.422 0.750 0.689
Se4 0.578 0.250 0.311
Se5 0.777 0.250 0.001
Se6 0.902 0.750 0.630

Largest 6 diffraction maxima, by angle, 2θ = 15–90°:
| 2theta | I_rel |
| --- | --- |
| 20.95 | 213 |
| 25.04 | 246 |
| 31.44 | 1000 |
| 31.64 | 287 |
| 40.89 | 217 |
| 41.21 | 240 |

The following is a calculated powder diffractogram of Li3YNp3Se8. It was derived from a crystal structure in Alexandria, relaxed with PBE, using λ = 1.5418 Å (Cu Kα).

Atomic structure:
Unit cell a=8.006 b=8.006 c=8.006 alpha=61.72 beta=61.72 gamma=61.72
Atoms (fractional coordinates):
Li1 0.000 0.500 0.500
Li2 0.500 0.000 0.500
Li3 0.500 0.500 0.000
Y1 0.500 0.500 0.500
Np1 0.000 0.000 0.500
Np2 0.000 0.500 0.000
Np3 0.500 0.000 0.000
Se1 0.250 0.250 0.750
Se2 0.250 0.750 0.250
Se3 0.250 0.750 0.750
Se4 0.251 0.251 0.251
Se5 0.749 0.749 0.749
Se6 0.750 0.250 0.250
Se7 0.750 0.250 0.750
Se8 0.750 0.750 0.250

Largest 6 diffraction maxima, by angle, 2θ = 15–90°:
| 2theta | I_rel |
| --- | --- |
| 25.46 | 474 |
| 31.21 | 1000 |
| 34.24 | 226 |
| 44.10 | 387 |
| 45.34 | 357 |
| 55.01 | 202 |

The following is a calculated powder diffractogram of LiNp5Te8. It was derived from a crystal structure in Alexandria, relaxed with PBE, using λ = 1.5418 Å (Cu Kα).

Atomic structure:
Unit cell a=8.033 b=8.033 c=8.033 alpha=110.08 beta=110.08 gamma=108.27
Atoms (fractional coordinates):
Li1 0.000 0.000 0.000
Np1 0.115 0.492 0.870
Np2 0.250 0.750 0.500
Np3 0.508 0.377 0.623
Np4 0.623 0.245 0.130
Np5 0.755 0.885 0.377
Te1 0.031 0.277 0.393
Te2 0.233 0.133 0.744
Te3 0.362 0.969 0.246
Te4 0.389 0.488 0.256
Te5 0.512 0.767 0.900
Te6 0.723 0.116 0.754
Te7 0.867 0.611 0.100
Te8 0.884 0.638 0.607

Largest 6 diffraction maxima, by angle, 2θ = 15–90°:
| 2theta | I_rel |
| --- | --- |
| 23.59 | 195 |
| 30.09 | 423 |
| 30.68 | 1000 |
| 35.99 | 486 |
| 36.29 | 197 |
| 36.46 | 333 |

What did the first record say?
The following is a calculated powder diffractogram of LiNpUSe3. It was derived from a crystal structure in Alexandria, relaxed with PBE, using λ = 1.5418 Å (Cu Kα).

Atomic structure:
Unit cell a=8.540 b=3.917 c=8.772 alpha=90.00 beta=104.73 gamma=90.00
Atoms (fractional coordinates):
Li1 0.086 0.250 0.083
Li2 0.914 0.750 0.917
Np1 0.175 0.250 0.719
Np2 0.825 0.750 0.281
U1 0.342 0.750 0.347
U2 0.658 0.250 0.653
Se1 0.098 0.250 0.370
Se2 0.223 0.750 0.999
Se3 0.422 0.750 0.689
Se4 0.578 0.250 0.311
Se5 0.777 0.250 0.001
Se6 0.902 0.750 0.630

Largest 6 diffraction maxima, by angle, 2θ = 15–90°:
| 2theta | I_rel |
| --- | --- |
| 20.95 | 213 |
| 25.04 | 246 |
| 31.44 | 1000 |
| 31.64 | 287 |
| 40.89 | 217 |
| 41.21 | 240 |